Record 1
Diffraction record for P2S3. The XRD peak list is computed, not measured: it uses a structure optimized by DFT (GGA-PBE) and a wavelength of 1.5418 Å.
Kinematic intensities with the Lorentz-polarization factor, no thermal factor.

Atomic structure:
a = 6.921 Å, b = 10.938 Å, c = 7.313 Å
α = 90.00°, β = 90.72°, γ = 90.00°
Positions (direct):
P  0.167  0.250  0.383
P  0.250  0.614  0.734
P  0.250  0.886  0.734
P  0.289  0.750  0.499
P  0.711  0.250  0.501
P  0.750  0.114  0.266
P  0.750  0.386  0.266
P  0.833  0.750  0.617
S  0.018  0.750  0.379
S  0.055  0.094  0.245
S  0.055  0.406  0.245
S  0.345  0.750  0.927
S  0.386  0.040  0.751
S  0.386  0.460  0.751
S  0.614  0.540  0.249
S  0.614  0.960  0.249
S  0.655  0.250  0.073
S  0.945  0.594  0.755
S  0.945  0.906  0.755
S  0.982  0.250  0.621

Largest 10 diffraction maxima, by intensity, 2θ = 15–90°:
2θ (°)	I/Imax
17.53	100.0
29.39	78.8
30.35	59.6
24.35	59.2
15.15	55.9
24.13	53.4
28.40	50.1
53.52	46.1
28.68	39.1
30.22	32.7

=====

Record 2
Diffraction record for P2S7. The XRD peak list is computed, not measured: it uses a structure optimized by DFT (GGA-PBE) and a wavelength of 1.5418 Å.
Kinematic intensities with the Lorentz-polarization factor, no thermal factor.

Atomic structure:
a = 6.413 Å, b = 6.624 Å, c = 11.673 Å
α = 82.25°, β = 88.47°, γ = 85.84°
Positions (direct):
P  0.052  0.165  0.063
P  0.373  0.192  0.506
P  0.627  0.808  0.494
P  0.948  0.835  0.937
S  0.143  0.778  0.792
S  0.146  0.848  0.081
S  0.247  0.243  0.671
S  0.269  0.355  0.051
S  0.279  0.422  0.397
S  0.299  0.896  0.474
S  0.361  0.993  0.783
S  0.639  0.007  0.217
S  0.701  0.104  0.526
S  0.721  0.578  0.603
S  0.731  0.645  0.949
S  0.753  0.757  0.329
S  0.854  0.152  0.919
S  0.857  0.222  0.208

Largest 10 diffraction maxima, by intensity, 2θ = 15–90°:
2θ (°)	I/Imax
15.72	100.0
27.22	78.2
31.76	36.4
15.32	33.3
19.44	32.9
31.55	32.2
27.90	28.8
29.52	27.4
26.80	27.3
15.95	21.3

=====

Record 3
Diffraction record for PS. The XRD peak list is computed, not measured: it uses a structure optimized by DFT (GGA-PBE) and a wavelength of 1.5418 Å.
Kinematic intensities with the Lorentz-polarization factor, no thermal factor.

Atomic structure:
a = 7.269 Å, b = 7.269 Å, c = 9.620 Å
α = 99.52°, β = 99.52°, γ = 83.99°
Positions (direct):
P  0.196  0.792  0.581
P  0.208  0.804  0.919
P  0.236  0.485  0.645
P  0.485  0.236  0.145
P  0.515  0.764  0.855
P  0.764  0.515  0.355
P  0.792  0.196  0.081
P  0.804  0.208  0.419
S  0.061  0.939  0.750
S  0.114  0.536  0.835
S  0.464  0.886  0.665
S  0.483  0.517  0.250
S  0.517  0.483  0.750
S  0.536  0.114  0.335
S  0.886  0.464  0.165
S  0.939  0.061  0.250

Largest 10 diffraction maxima, by intensity, 2θ = 15–90°:
2θ (°)	I/Imax
16.69	100.0
29.04	52.3
16.83	35.5
18.92	29.3
37.77	26.9
28.03	26.4
42.83	23.2
29.41	20.5
47.06	20.1
38.18	18.0

=====

Record 4
Diffraction record for P2S3. The XRD peak list is computed, not measured: it uses a structure optimized by DFT (GGA-PBE) and a wavelength of 1.5418 Å.
Kinematic intensities with the Lorentz-polarization factor, no thermal factor.

Atomic structure:
a = 4.631 Å, b = 10.479 Å, c = 11.635 Å
α = 90.00°, β = 112.92°, γ = 90.00°
Positions (direct):
P  0.090  0.187  0.480
P  0.090  0.313  0.980
P  0.380  0.199  0.772
P  0.380  0.301  0.272
P  0.620  0.699  0.728
P  0.620  0.801  0.228
P  0.910  0.687  0.020
P  0.910  0.813  0.520
S  0.169  0.642  0.597
S  0.169  0.858  0.097
S  0.276  0.127  0.346
S  0.276  0.373  0.846
S  0.476  0.216  0.122
S  0.476  0.284  0.622
S  0.524  0.716  0.378
S  0.524  0.784  0.878
S  0.724  0.627  0.154
S  0.724  0.873  0.654
S  0.831  0.142  0.903
S  0.831  0.358  0.403

Largest 10 diffraction maxima, by intensity, 2θ = 15–90°:
2θ (°)	I/Imax
16.92	100.0
30.58	35.7
22.51	22.6
20.97	22.0
18.60	18.7
25.67	17.5
32.65	17.2
32.94	16.9
30.80	16.4
52.74	14.2

=====

Record 5
Diffraction record for P2S3. The XRD peak list is computed, not measured: it uses a structure optimized by DFT (GGA-PBE) and a wavelength of 1.5418 Å.
Kinematic intensities with the Lorentz-polarization factor, no thermal factor.

Atomic structure:
a = 7.536 Å, b = 13.204 Å, c = 12.351 Å
α = 90.00°, β = 101.22°, γ = 90.00°
Positions (direct):
P  0.146  0.049  0.253
P  0.146  0.451  0.753
P  0.224  0.096  0.843
P  0.224  0.404  0.343
P  0.253  0.563  0.430
P  0.253  0.937  0.930
P  0.280  0.584  0.166
P  0.280  0.916  0.666
P  0.720  0.084  0.334
P  0.720  0.416  0.834
P  0.747  0.063  0.070
P  0.747  0.437  0.570
P  0.776  0.596  0.657
P  0.776  0.904  0.157
P  0.854  0.549  0.247
P  0.854  0.951  0.747
S  0.002  0.105  0.377
S  0.002  0.395  0.877
S  0.019  0.116  0.102
S  0.019  0.384  0.602
S  0.059  0.602  0.719
S  0.059  0.898  0.219
S  0.342  0.071  0.703
S  0.342  0.429  0.203
S  0.383  0.649  0.323
S  0.383  0.851  0.823
S  0.386  0.638  0.049
S  0.386  0.862  0.549
S  0.614  0.138  0.451
S  0.614  0.362  0.951
S  0.617  0.149  0.177
S  0.617  0.351  0.677
S  0.658  0.571  0.797
S  0.658  0.929  0.297
S  0.941  0.102  0.781
S  0.941  0.398  0.281
S  0.981  0.616  0.398
S  0.981  0.884  0.898
S  0.998  0.605  0.123
S  0.998  0.895  0.623

Largest 10 diffraction maxima, by intensity, 2θ = 15–90°:
2θ (°)	I/Imax
16.63	100.0
27.01	65.7
27.41	59.1
25.86	59.0
15.28	44.6
24.72	34.5
48.88	32.2
32.46	30.4
30.01	22.5
36.46	21.6

=====

Record 6
Diffraction record for P2S3. The XRD peak list is computed, not measured: it uses a structure optimized by DFT (GGA-PBE) and a wavelength of 1.5418 Å.
Kinematic intensities with the Lorentz-polarization factor, no thermal factor.

Atomic structure:
a = 10.653 Å, b = 25.806 Å, c = 4.688 Å
α = 90.00°, β = 90.00°, γ = 90.00°
Positions (direct):
P  0.147  0.025  0.000
P  0.353  0.975  0.500
P  0.647  0.975  0.500
P  0.853  0.025  0.000
S  0.000  0.989  0.244
S  0.217  0.954  0.814
S  0.283  0.046  0.314
S  0.500  0.011  0.744
S  0.717  0.046  0.314
S  0.783  0.954  0.814

Largest 10 diffraction maxima, by intensity, 2θ = 15–90°:
2θ (°)	I/Imax
31.80	100.0
17.18	99.6
32.38	84.0
20.99	78.3
20.68	69.6
21.83	67.2
33.32	61.5
30.75	54.1
28.90	53.8
23.16	53.1

=====

Record 7
Diffraction record for ScPS4. The XRD peak list is computed, not measured: it uses a structure optimized by DFT (GGA-PBE) and a wavelength of 1.5418 Å.
Kinematic intensities with the Lorentz-polarization factor, no thermal factor.

Atomic structure:
a = 6.267 Å, b = 6.573 Å, c = 7.525 Å
α = 87.25°, β = 88.88°, γ = 80.91°
Positions (direct):
Sc  0.204  0.195  0.057
Sc  0.796  0.805  0.943
P  0.312  0.763  0.832
P  0.688  0.237  0.168
S  0.083  0.019  0.771
S  0.121  0.536  0.813
S  0.405  0.791  0.090
S  0.421  0.269  0.325
S  0.579  0.731  0.675
S  0.595  0.209  0.910
S  0.879  0.464  0.187
S  0.917  0.981  0.229

Largest 10 diffraction maxima, by intensity, 2θ = 15–90°:
2θ (°)	I/Imax
18.47	100.0
29.37	61.3
33.15	51.7
31.40	49.2
29.01	30.6
17.65	30.1
32.68	29.2
50.97	28.6
38.61	28.5
39.72	26.1

=====

Record 8
Diffraction record for ScTlP2S7. The XRD peak list is computed, not measured: it uses a structure optimized by DFT (GGA-PBE) and a wavelength of 1.5418 Å.
Kinematic intensities with the Lorentz-polarization factor, no thermal factor.

Atomic structure:
a = 6.668 Å, b = 6.668 Å, c = 6.543 Å
α = 95.95°, β = 95.95°, γ = 98.01°
Positions (direct):
Sc  0.000  0.000  0.000
Tl  0.407  0.593  0.500
P  0.450  0.151  0.911
P  0.849  0.550  0.089
S  0.193  0.138  0.710
S  0.375  0.028  0.168
S  0.523  0.477  0.000
S  0.672  0.046  0.758
S  0.862  0.807  0.290
S  0.954  0.328  0.242
S  0.972  0.625  0.832

Largest 10 diffraction maxima, by intensity, 2θ = 15–90°:
2θ (°)	I/Imax
22.39	100.0
18.09	96.1
27.21	89.9
32.33	78.2
20.42	75.7
31.87	51.3
31.05	48.9
29.32	35.7
45.04	33.6
28.54	32.8

=====

Record 9
Diffraction record for SmPS4. The XRD peak list is computed, not measured: it uses a structure optimized by DFT (GGA-PBE) and a wavelength of 1.5418 Å.
Kinematic intensities with the Lorentz-polarization factor, no thermal factor.

Atomic structure:
a = 12.377 Å, b = 12.377 Å, c = 12.377 Å
α = 127.49°, β = 127.49°, γ = 77.45°
Positions (direct):
Sm  0.125  0.375  0.750
Sm  0.125  0.875  0.250
Sm  0.375  0.125  0.250
Sm  0.375  0.625  0.750
Sm  0.625  0.375  0.250
Sm  0.625  0.875  0.750
Sm  0.875  0.125  0.750
Sm  0.875  0.625  0.250
P  0.212  0.250  0.462
P  0.250  0.288  0.038
P  0.250  0.788  0.538
P  0.288  0.750  0.038
P  0.712  0.250  0.962
P  0.750  0.212  0.462
P  0.750  0.712  0.962
P  0.788  0.750  0.538
S  0.089  0.884  0.476
S  0.092  0.388  0.976
S  0.096  0.664  0.937
S  0.112  0.408  0.524
S  0.116  0.092  0.205
S  0.159  0.096  0.933
S  0.164  0.596  0.437
S  0.227  0.159  0.563
S  0.273  0.836  0.933
S  0.336  0.773  0.433
S  0.341  0.273  0.937
S  0.384  0.589  0.976
S  0.388  0.911  0.295
S  0.404  0.341  0.567
S  0.408  0.384  0.295
S  0.411  0.888  0.795
S  0.589  0.112  0.205
S  0.592  0.616  0.705
S  0.596  0.659  0.433
S  0.612  0.089  0.705
S  0.616  0.411  0.024
S  0.659  0.727  0.063
S  0.664  0.227  0.567
S  0.727  0.164  0.067
S  0.773  0.841  0.437
S  0.836  0.404  0.563
S  0.841  0.904  0.067
S  0.884  0.908  0.795
S  0.888  0.592  0.476
S  0.904  0.336  0.063
S  0.908  0.612  0.024
S  0.911  0.116  0.524

Largest 10 diffraction maxima, by intensity, 2θ = 15–90°:
2θ (°)	I/Imax
16.19	100.0
24.58	63.1
41.34	53.4
29.58	51.3
37.78	43.7
36.70	34.8
40.85	23.3
32.71	19.2
56.46	17.8
53.29	16.2

=====

Record 10
Diffraction record for SmTl2P2S7. The XRD peak list is computed, not measured: it uses a structure optimized by DFT (GGA-PBE) and a wavelength of 1.5418 Å.
Kinematic intensities with the Lorentz-polarization factor, no thermal factor.

Atomic structure:
a = 12.034 Å, b = 12.034 Å, c = 18.978 Å
α = 119.79°, β = 119.79°, γ = 32.78°
Positions (direct):
Sm  0.117  0.193  0.235
Sm  0.193  0.117  0.735
Sm  0.807  0.883  0.265
Sm  0.883  0.807  0.765
Tl  0.181  0.184  0.026
Tl  0.184  0.181  0.526
Tl  0.464  0.514  0.119
Tl  0.486  0.536  0.381
Tl  0.514  0.464  0.619
Tl  0.536  0.486  0.881
Tl  0.816  0.819  0.474
Tl  0.819  0.816  0.974
P  0.026  0.070  0.311
P  0.070  0.026  0.811
P  0.331  0.335  0.863
P  0.335  0.331  0.363
P  0.665  0.669  0.637
P  0.669  0.665  0.137
P  0.930  0.974  0.189
P  0.974  0.930  0.689
S  0.001  0.962  0.607
S  0.038  0.999  0.893
S  0.117  0.680  0.189
S  0.145  0.639  0.395
S  0.163  0.634  0.916
S  0.169  0.631  0.687
S  0.221  0.338  0.737
S  0.252  0.279  0.402
S  0.279  0.252  0.902
S  0.320  0.883  0.311
S  0.338  0.221  0.237
S  0.361  0.855  0.105
S  0.366  0.837  0.584
S  0.369  0.831  0.813
S  0.631  0.169  0.187
S  0.634  0.163  0.416
S  0.639  0.145  0.895
S  0.662  0.779  0.763
S  0.680  0.117  0.689
S  0.721  0.748  0.098
S  0.748  0.721  0.598
S  0.779  0.662  0.263
S  0.831  0.369  0.313
S  0.837  0.366  0.084
S  0.855  0.361  0.605
S  0.883  0.320  0.811
S  0.962  0.001  0.107
S  0.999  0.038  0.393

Largest 10 diffraction maxima, by intensity, 2θ = 15–90°:
2θ (°)	I/Imax
18.78	100.0
23.88	42.7
25.49	35.5
26.24	35.4
33.13	32.0
30.64	31.8
27.76	30.7
38.07	28.7
38.19	22.7
31.16	21.1